[1]
The following is a simulated powder diffraction line list of AlAu4. It was derived from a DFT-relaxed cell (GGA-PBE, OQMD), using Cu Kα, 1.54184 Å.
Kinematic intensities with the Lorentz-polarization factor, no thermal factor.

Structural model:
```
AlAu4
1.0
7.022 0.000 0.000
0.000 7.022 0.000
0.000 0.000 7.022
Al Au
4 16
Direct
0.187 0.187 0.187
0.313 0.813 0.687
0.687 0.313 0.813
0.813 0.687 0.313
0.036 0.134 0.800
0.068 0.932 0.432
0.134 0.800 0.036
0.200 0.536 0.366
0.300 0.464 0.866
0.366 0.200 0.536
0.432 0.068 0.932
0.464 0.866 0.300
0.536 0.366 0.200
0.568 0.568 0.568
0.634 0.700 0.964
0.700 0.964 0.634
0.800 0.036 0.134
0.866 0.300 0.464
0.932 0.432 0.068
0.964 0.634 0.700
```

Main lines, in order of rising 2θ (10° ≤ 2θ ≤ 90°):
- 28.4°, d = 3.141 Å, rel. 23
- 31.2°, d = 2.867 Å, rel. 10
- 38.5°, d = 2.341 Å, rel. 100
- 40.6°, d = 2.221 Å, rel. 61
- 42.7°, d = 2.117 Å, rel. 20
- 55.5°, d = 1.655 Å, rel. 11
- 58.8°, d = 1.570 Å, rel. 10
- 68.1°, d = 1.377 Å, rel. 24
- 69.6°, d = 1.351 Å, rel. 9
- 72.5°, d = 1.304 Å, rel. 22
- 81.0°, d = 1.187 Å, rel. 8
- 85.2°, d = 1.139 Å, rel. 9

---

[2]
The following is a simulated powder diffraction line list of AlAuBr6. It was derived from a DFT-relaxed cell (GGA-PBE, OQMD), using Cu Kα, 1.54184 Å.
Kinematic intensities with the Lorentz-polarization factor, no thermal factor.

Structural model:
```
AlAuBr6
1.0
0.000 4.951 4.951
4.951 0.000 4.951
4.951 4.951 0.000
Al Au Br
1 1 6
Direct
0.000 0.000 0.000
0.250 0.250 0.250
0.248 0.248 0.752
0.248 0.752 0.248
0.248 0.752 0.752
0.752 0.248 0.248
0.752 0.248 0.752
0.752 0.752 0.248
```

Main lines, in order of rising 2θ (10° ≤ 2θ ≤ 90°):
- 15.5°, d = 5.717 Å, rel. 48
- 29.9°, d = 2.986 Å, rel. 30
- 31.3°, d = 2.859 Å, rel. 100
- 36.3°, d = 2.476 Å, rel. 59
- 39.7°, d = 2.272 Å, rel. 14
- 47.7°, d = 1.906 Å, rel. 12
- 52.3°, d = 1.751 Å, rel. 41
- 54.8°, d = 1.674 Å, rel. 11
- 62.2°, d = 1.493 Å, rel. 41
- 65.3°, d = 1.429 Å, rel. 14
- 85.5°, d = 1.136 Å, rel. 18
- 88.3°, d = 1.107 Å, rel. 19

---

[3]
The following is a simulated powder diffraction line list of AlAuBr2Cl2. It was derived from a DFT-relaxed cell (GGA-PBE, OQMD), using Cu Kα, 1.54184 Å.
Kinematic intensities with the Lorentz-polarization factor, no thermal factor.

Structural model:
```
AlAuBr2Cl2
1.0
5.925 0.000 0.000
-0.199 6.317 0.000
-2.780 -3.216 5.443
Al Au Br Cl
1 1 2 2
Direct
0.000 0.000 0.000
0.752 0.054 0.514
0.195 0.140 0.821
0.302 0.837 0.212
0.695 0.675 0.743
0.921 0.302 0.245
```

Main lines, in order of rising 2θ (10° ≤ 2θ ≤ 90°):
- 16.1°, d = 5.489 Å, rel. 37
- 16.3°, d = 5.439 Å, rel. 100
- 17.2°, d = 5.169 Å, rel. 66
- 20.2°, d = 4.389 Å, rel. 17
- 26.3°, d = 3.386 Å, rel. 60
- 26.6°, d = 3.347 Å, rel. 61
- 28.3°, d = 3.159 Å, rel. 41
- 28.7°, d = 3.115 Å, rel. 16
- 33.6°, d = 2.668 Å, rel. 20
- 34.3°, d = 2.617 Å, rel. 18
- 39.2°, d = 2.296 Å, rel. 16
- 41.2°, d = 2.193 Å, rel. 25

---

[4]
The following is a simulated powder diffraction line list of AlAuBr3Cl. It was derived from a DFT-relaxed cell (GGA-PBE, OQMD), using Cu Kα, 1.54184 Å.
Kinematic intensities with the Lorentz-polarization factor, no thermal factor.

Structural model:
```
AlAuBr3Cl
1.0
6.240 0.000 0.000
0.025 6.555 0.000
3.097 3.181 5.472
Al Au Br Cl
1 1 3 1
Direct
0.000 0.000 0.000
0.874 0.357 0.286
0.104 0.056 0.268
0.649 0.667 0.272
0.873 0.316 0.801
0.303 0.919 0.775
```

Main lines, in order of rising 2θ (10° ≤ 2θ ≤ 90°):
- 15.6°, d = 5.667 Å, rel. 27
- 16.2°, d = 5.472 Å, rel. 47
- 16.3°, d = 5.426 Å, rel. 100
- 19.6°, d = 4.523 Å, rel. 27
- 25.3°, d = 3.517 Å, rel. 64
- 25.7°, d = 3.460 Å, rel. 64
- 31.9°, d = 2.809 Å, rel. 22
- 32.1°, d = 2.792 Å, rel. 18
- 32.7°, d = 2.737 Å, rel. 39
- 32.9°, d = 2.723 Å, rel. 33
- 40.0°, d = 2.255 Å, rel. 28
- 48.9°, d = 1.862 Å, rel. 24

---

[5]
The following is a simulated powder diffraction line list of AlAuBrCl3. It was derived from a DFT-relaxed cell (GGA-PBE, OQMD), using Cu Kα, 1.54184 Å.
Kinematic intensities with the Lorentz-polarization factor, no thermal factor.

Structural model:
```
AlAuBrCl3
1.0
5.884 0.000 0.000
0.004 6.229 0.000
2.882 3.031 5.266
Al Au Br Cl
1 1 1 3
Direct
0.000 0.000 0.000
0.157 0.654 0.705
0.389 0.325 0.729
0.087 0.678 0.223
0.690 0.113 0.208
0.915 0.950 0.728
```

Main lines, in order of rising 2θ (10° ≤ 2θ ≤ 90°):
- 16.7°, d = 5.324 Å, rel. 46
- 16.8°, d = 5.266 Å, rel. 100
- 17.2°, d = 5.162 Å, rel. 84
- 17.4°, d = 5.111 Å, rel. 96
- 20.8°, d = 4.277 Å, rel. 62
- 26.6°, d = 3.352 Å, rel. 92
- 27.1°, d = 3.289 Å, rel. 89
- 29.4°, d = 3.034 Å, rel. 37
- 33.6°, d = 2.666 Å, rel. 41
- 33.7°, d = 2.656 Å, rel. 35
- 34.0°, d = 2.633 Å, rel. 42
- 42.3°, d = 2.138 Å, rel. 61

---

[6]
The following is a simulated powder diffraction line list of AlMo4AuC2. It was derived from a DFT-relaxed cell (GGA-PBE, OQMD), using Cu Kα, 1.54184 Å.
Kinematic intensities with the Lorentz-polarization factor, no thermal factor.

Structural model:
```
AlMo4AuC2
1.0
3.054 0.000 0.000
-1.527 2.645 0.000
0.000 0.000 13.706
Al Mo Au C
1 4 1 2
Direct
0.000 0.000 0.000
0.000 0.000 0.327
0.000 0.000 0.673
0.333 0.667 0.158
0.333 0.667 0.842
0.333 0.667 0.500
0.667 0.333 0.244
0.667 0.333 0.756
```

Main lines, in order of rising 2θ (10° ≤ 2θ ≤ 90°):
- 19.4°, d = 4.569 Å, rel. 8
- 32.7°, d = 2.741 Å, rel. 5
- 33.9°, d = 2.645 Å, rel. 23
- 36.4°, d = 2.467 Å, rel. 12
- 39.4°, d = 2.288 Å, rel. 100
- 53.0°, d = 1.729 Å, rel. 15
- 60.6°, d = 1.527 Å, rel. 16
- 64.8°, d = 1.438 Å, rel. 5
- 70.6°, d = 1.334 Å, rel. 3
- 71.5°, d = 1.320 Å, rel. 13
- 74.8°, d = 1.270 Å, rel. 27
- 84.7°, d = 1.144 Å, rel. 4